Simulated powder diffraction line list
Compound: Ce3P3Ru2
Radiation: copper Kα
Structure: a crystal structure in Alexandria, relaxed with PBE

Unit cell a=5.8166 b=5.8166 c=13.8264 alpha=90.00 beta=90.00 gamma=139.15
Element x y z (fractional)
Ce 0.0725 0.9275 0.6126
Ce 0.0725 0.9275 0.8874
Ce 0.3630 0.6370 0.7500
Ce 0.6370 0.3630 0.2500
Ce 0.9275 0.0725 0.1126
Ce 0.9275 0.0725 0.3874
P 0.3295 0.6705 0.2500
P 0.3793 0.6207 0.5499
P 0.3793 0.6207 0.9501
P 0.6207 0.3793 0.0499
P 0.6207 0.3793 0.4501
P 0.6705 0.3295 0.7500
Ru 0.2291 0.7709 0.0777
Ru 0.2291 0.7709 0.4223
Ru 0.7709 0.2291 0.5777
Ru 0.7709 0.2291 0.9223

Principal peaks in the range 2θ from 5° to 70°, low angle first:
2theta  d_spacing  intensity
25.31  3.519  30
33.51  2.674  22
33.73  2.657  100
35.08  2.558  95
36.43  2.466  27
38.37  2.346  27
38.57  2.335  79
39.09  2.304  35
44.65  2.030  45
64.03  1.454  23



Simulated powder diffraction line list
Compound: CePS4
Radiation: copper Kα
Structure: a crystal structure in Alexandria, relaxed with PBE

Unit cell a=6.2628 b=6.3983 c=7.2505 alpha=90.00 beta=90.00 gamma=90.00
Element x y z (fractional)
Ce 0.0000 0.0000 0.0000
Ce 0.5000 0.5000 0.5000
P 0.0000 0.0000 0.5000
P 0.5000 0.5000 0.0000
S 0.1863 0.1809 0.3306
S 0.1863 0.8191 0.6694
S 0.3137 0.3191 0.8306
S 0.3137 0.6809 0.1694
S 0.6863 0.3191 0.1694
S 0.6863 0.6809 0.8306
S 0.8137 0.1809 0.6694
S 0.8137 0.8191 0.3306

Principal peaks in the range 2θ from 5° to 70°, low angle first:
2theta  d_spacing  intensity
18.49  4.797  18
18.72  4.740  18
19.84  4.476  100
31.76  2.817  55
33.80  2.652  30
34.19  2.622  29
37.49  2.399  23
37.97  2.370  23
40.30  2.238  22
51.83  1.764  15



Simulated powder diffraction line list
Compound: Ce8P4S3
Radiation: copper Kα
Structure: a crystal structure in Alexandria, relaxed with PBE

Unit cell a=8.0831 b=8.0831 c=8.0803 alpha=119.94 beta=119.94 gamma=90.04
Element x y z (fractional)
Ce 0.2479 0.2479 0.4949
Ce 0.2483 0.7517 0.0000
Ce 0.2495 0.2495 0.0006
Ce 0.2503 0.7497 0.5000
Ce 0.7497 0.2503 0.5000
Ce 0.7505 0.7505 0.9994
Ce 0.7517 0.2483 0.0000
Ce 0.7521 0.7521 0.5051
P 0.0000 0.0000 0.0000
P 0.0000 0.5000 0.0000
P 0.5000 0.0000 0.0000
P 0.5000 0.5000 0.5000
S 0.0000 0.0000 0.5000
S 0.0000 0.5000 0.5000
S 0.5000 0.0000 0.5000

Principal peaks in the range 2θ from 5° to 70°, low angle first:
2theta  d_spacing  intensity
13.41  6.602  1
27.01  3.301  85
31.29  2.859  100
44.84  2.021  73
53.13  1.724  41
55.69  1.650  25
65.28  1.429  12



Simulated powder diffraction line list
Compound: SrCeP2S8
Radiation: copper Kα
Structure: a crystal structure in Alexandria, relaxed with PBE

Unit cell a=6.0601 b=6.0601 c=9.1642 alpha=90.00 beta=90.00 gamma=120.00
Element x y z (fractional)
Sr 0.0000 0.0000 0.0000
Ce 0.0000 0.0000 0.5000
P 0.3333 0.6667 0.7654
P 0.6667 0.3333 0.2346
S 0.0026 0.3486 0.6950
S 0.3333 0.6667 0.9834
S 0.3461 0.9974 0.6950
S 0.3486 0.3461 0.3050
S 0.6514 0.6539 0.6950
S 0.6539 0.0026 0.3050
S 0.6667 0.3333 0.0166
S 0.9974 0.6514 0.3050

Principal peaks in the range 2θ from 5° to 70°, low angle first:
2theta  d_spacing  intensity
16.89  5.248  54
19.49  4.554  42
25.81  3.452  100
29.48  3.030  43
31.09  2.877  34
35.53  2.527  93
39.58  2.277  26
49.90  1.827  38
50.11  1.820  30
52.29  1.749  36



Simulated powder diffraction line list
Compound: Ce4SbP3
Radiation: copper Kα
Structure: a crystal structure in Alexandria, relaxed with PBE

Unit cell a=4.1542 b=4.1542 c=28.0123 alpha=90.00 beta=90.00 gamma=120.00
Element x y z (fractional)
Ce 0.0000 0.0000 0.1746
Ce 0.0000 0.0000 0.3254
Ce 0.0000 0.0000 0.6746
Ce 0.0000 0.0000 0.8254
Ce 0.3333 0.6667 0.0583
Ce 0.3333 0.6667 0.4417
Ce 0.6667 0.3333 0.5583
Ce 0.6667 0.3333 0.9417
Sb 0.3333 0.6667 0.2500
Sb 0.6667 0.3333 0.7500
P 0.0000 0.0000 0.0000
P 0.0000 0.0000 0.5000
P 0.3333 0.6667 0.6185
P 0.3333 0.6667 0.8815
P 0.6667 0.3333 0.1185
P 0.6667 0.3333 0.3815

Principal peaks in the range 2θ from 5° to 70°, low angle first:
2theta  d_spacing  intensity
24.95  3.568  21
25.44  3.502  11
25.56  3.485  26
29.51  3.027  80
31.39  2.850  100
43.56  2.077  83
46.37  1.958  12
51.15  1.786  15
53.50  1.713  15
54.68  1.679  20



Simulated powder diffraction line list
Compound: Ce5Sb3P
Radiation: copper Kα
Structure: a crystal structure in Alexandria, relaxed with PBE

Unit cell a=9.6872 b=9.6872 c=9.6872 alpha=129.50 beta=129.50 gamma=74.20
Element x y z (fractional)
Ce 0.0000 0.0000 0.0000
Ce 0.0380 0.5380 0.8573
Ce 0.1807 0.0380 0.5000
Ce 0.3193 0.8193 0.8573
Ce 0.4620 0.3193 0.5000
Ce 0.5000 0.5000 0.0000
Ce 0.5380 0.6807 0.5000
Ce 0.6807 0.1807 0.1427
Ce 0.8193 0.9620 0.5000
Ce 0.9620 0.4620 0.1427
Sb 0.1308 0.3692 0.5000
Sb 0.2500 0.2500 0.0000
Sb 0.3692 0.8692 0.2384
Sb 0.6308 0.1308 0.7616
Sb 0.7500 0.7500 0.0000
Sb 0.8692 0.6308 0.5000
P 0.2500 0.7500 0.5000
P 0.7500 0.2500 0.5000

Principal peaks in the range 2θ from 5° to 70°, low angle first:
2theta  d_spacing  intensity
29.75  3.003  100
30.60  2.922  22
31.71  2.822  55
34.31  2.613  44
37.95  2.371  16
47.05  1.932  12
48.75  1.868  19
52.62  1.739  12
59.51  1.553  18
62.11  1.495  11



Simulated powder diffraction line list
Compound: Ce2Sc2Sb2P
Radiation: copper Kα
Structure: a crystal structure in Alexandria, relaxed with PBE

Unit cell a=4.8140 b=4.8140 c=16.2794 alpha=90.00 beta=90.00 gamma=90.00
Element x y z (fractional)
Ce 0.0000 0.0000 0.1698
Ce 0.0000 0.0000 0.8302
Ce 0.5000 0.5000 0.3302
Ce 0.5000 0.5000 0.6698
Sc 0.0000 0.5000 0.0000
Sc 0.0000 0.5000 0.5000
Sc 0.5000 0.0000 0.0000
Sc 0.5000 0.0000 0.5000
Sb 0.0000 0.0000 0.3700
Sb 0.0000 0.0000 0.6300
Sb 0.5000 0.5000 0.1300
Sb 0.5000 0.5000 0.8700
P 0.0000 0.0000 0.0000
P 0.5000 0.5000 0.5000

Principal peaks in the range 2θ from 5° to 70°, low angle first:
2theta  d_spacing  intensity
26.18  3.404  100
28.42  3.140  38
33.01  2.713  25
33.22  2.697  57
34.34  2.611  81
37.36  2.407  75
50.70  1.801  29
50.85  1.796  34
53.87  1.702  25
65.46  1.426  24



Simulated powder diffraction line list
Compound: Ce4SbPSe2
Radiation: copper Kα
Structure: a crystal structure in Alexandria, relaxed with PBE

Unit cell a=7.3365 b=4.2481 c=7.4368 alpha=90.00 beta=109.37 gamma=90.00
Element x y z (fractional)
Ce 0.2435 0.0000 0.2327
Ce 0.2552 0.5000 0.7676
Ce 0.7448 0.5000 0.2324
Ce 0.7565 0.0000 0.7673
Sb 0.0000 0.0000 0.5000
P 0.0000 0.5000 0.0000
Se 0.5000 0.0000 0.0000
Se 0.5000 0.5000 0.5000

Principal peaks in the range 2θ from 5° to 70°, low angle first:
2theta  d_spacing  intensity
25.68  3.468  11
29.66  3.012  100
42.21  2.141  24
42.34  2.135  12
42.63  2.121  37
52.15  1.754  6
52.72  1.736  13
52.92  1.730  6
61.58  1.506  12
69.49  1.353  10